The following is a calculated powder XRD pattern of MnAs3Pb3O9. It was derived from the PBE+U geometry in Alexandria, using CuKα.
Lines closer than 0.1° are merged.

Largest 10 diffraction maxima, by intensity, 2θ from 10° to 80°:
d/Å	I/Imax	index
2.934	100	2 0 -4
3.206	89	0 1 3
3.162	76	2 1 -1
4.958	61	1 1 -1
3.052	58	1 2 -1
3.190	50	2 0 0
2.859	40	0 2 2
3.568	40	1 1 -3
2.111	39	2 2 1
3.028	37	1 1 2

Crystal structure
```
MnAs3Pb3O9
1.0
7.390 0.000 0.000
0.000 6.708 0.000
-6.398 0.000 10.948
Mn As Pb O
2 6 6 18
direct
0.000 0.012 0.000 Mn
0.000 0.988 0.500 Mn
0.048 0.204 0.264 As
0.048 0.796 0.764 As
0.168 0.477 0.054 As
0.168 0.523 0.554 As
0.475 0.116 0.745 As
0.475 0.884 0.245 As
0.532 0.133 0.038 Pb
0.532 0.867 0.538 Pb
0.653 0.373 0.350 Pb
0.653 0.627 0.850 Pb
0.968 0.294 0.753 Pb
0.968 0.706 0.253 Pb
0.083 0.009 0.374 O
0.083 0.991 0.874 O
0.281 0.466 0.962 O
0.281 0.534 0.462 O
0.331 0.082 0.140 O
0.331 0.918 0.640 O
0.629 0.170 0.676 O
0.629 0.830 0.176 O
0.653 0.035 0.376 O
0.653 0.965 0.876 O
0.795 0.314 0.224 O
0.795 0.686 0.724 O
0.939 0.031 0.135 O
0.939 0.969 0.635 O
0.947 0.306 0.960 O
0.947 0.694 0.460 O
0.993 0.293 0.506 O
0.993 0.707 0.006 O
```